Theoretical X-ray diffraction stick pattern of SrEuDyFeO6 for Cu Kα (weighted mean of Kα1 and Kα2), from a crystal structure in the Materials Project, relaxed with GGA+U.

Principal peaks in the range 10° ≤ 2θ ≤ 90°, by angle:
hkl 1 1 1, 2θ 19.09, rel. 140
hkl 2 2 0, 2θ 31.41, rel. 1000
hkl 3 1 1, 2θ 37.02, rel. 106
hkl 2 2 2, 2θ 38.73, rel. 28
hkl 4 0 0, 2θ 45.02, rel. 302
hkl 3 3 1, 2θ 49.32, rel. 57
hkl 4 2 2, 2θ 55.93, rel. 389
hkl 3 3 3, 2θ 59.65, rel. 32
hkl 4 4 0, 2θ 65.56, rel. 182
hkl 5 3 1, 2θ 68.98, rel. 32
hkl 6 2 0, 2θ 74.51, rel. 174
hkl 4 4 4, 2θ 83.08, rel. 61

Atomic structure:
```
data_SrEuDyFeO6
_chemical_formula_sum 'Sr4 Eu4 Dy4 Fe4 O24'
_symmetry_space_group_name_H-M 'F -4 3 m'
_symmetry_Int_Tables_number 216
_symmetry_space_group_name_Hall 'F -4 2 3'
_cell_length_a 8.054
_cell_length_b 8.054
_cell_length_c 8.054
_cell_angle_alpha 90.00
_cell_angle_beta 90.00
_cell_angle_gamma 90.00
loop_
_atom_site_label
_atom_site_fract_x
_atom_site_fract_y
_atom_site_fract_z
Sr1 0.000 0.000 0.000
Eu1 0.000 0.000 0.500
Dy1 0.250 0.250 0.250
Fe1 0.250 0.250 0.750
O1 0.018 0.250 0.750
```